# 1
Computed powder X-ray diffraction pattern of Au3I2Cl4 for Cu Ka, from the PBE geometry in Alexandria.
No peak broadening, texture or thermal motion is included.

Top 12 peaks for 2θ from 10° to 90°, by angle:
- 13.54°, I 100
- 17.59°, I 48
- 20.87°, I 14
- 21.94°, I 25
- 22.34°, I 31
- 27.19°, I 40
- 29.56°, I 29
- 32.18°, I 45
- 35.05°, I 23
- 35.25°, I 13
- 41.19°, I 14
- 51.62°, I 16

Structure:
Lattice parameters (Å, degrees): 8.851 8.851 8.501 104.18 104.18 95.25
Element x y z (fractional)
Au 0.029 0.971 0.750
Au 0.295 0.456 0.364
Au 0.456 0.295 0.864
Au 0.544 0.705 0.136
Au 0.705 0.544 0.636
Au 0.971 0.029 0.250
I 0.115 0.205 0.107
I 0.205 0.115 0.607
I 0.795 0.885 0.393
I 0.885 0.795 0.893
Cl 0.093 0.602 0.333
Cl 0.317 0.511 0.912
Cl 0.398 0.907 0.167
Cl 0.489 0.683 0.588
Cl 0.511 0.317 0.412
Cl 0.602 0.093 0.833
Cl 0.683 0.489 0.088
Cl 0.907 0.398 0.667

---

# 2
Computed powder X-ray diffraction pattern of Ca2Tc2Se for Cu Ka, from the PBE geometry in Alexandria.
No peak broadening, texture or thermal motion is included.

Top 12 peaks for 2θ from 10° to 90°, by angle:
- 21.50°, I 69
- 30.58°, I 100
- 32.81°, I 12
- 40.30°, I 52
- 43.80°, I 36
- 49.29°, I 15
- 51.42°, I 50
- 61.02°, I 15
- 63.67°, I 11
- 69.80°, I 20
- 72.28°, I 15
- 78.10°, I 14

Structure:
Lattice parameters (Å, degrees): 5.504 5.504 5.504 115.84 115.84 97.36
Element x y z (fractional)
Ca 0.250 0.750 0.500
Ca 0.750 0.250 0.500
Tc 0.152 0.152 0.000
Tc 0.848 0.848 0.000
Se 0.500 0.500 0.000

---

# 3
Computed powder X-ray diffraction pattern of AcCd11 for Cu Ka, from the PBE geometry in Alexandria.
No peak broadening, texture or thermal motion is included.

Top 12 peaks for 2θ from 10° to 90°, by angle:
- 29.08°, I 36
- 32.70°, I 100
- 33.34°, I 64
- 34.88°, I 31
- 38.05°, I 17
- 39.18°, I 54
- 40.60°, I 27
- 42.07°, I 12
- 49.92°, I 16
- 59.18°, I 32
- 70.02°, I 15
- 79.46°, I 14

Structure:
Lattice parameters (Å, degrees): 9.371 9.371 9.371 100.23 100.23 130.14
Element x y z (fractional)
Ac 0.375 0.625 0.750
Ac 0.625 0.375 0.250
Cd 0.000 0.000 0.000
Cd 0.000 0.000 0.500
Cd 0.000 0.500 0.000
Cd 0.125 0.875 0.250
Cd 0.127 0.552 0.334
Cd 0.127 0.793 0.575
Cd 0.207 0.282 0.334
Cd 0.207 0.873 0.925
Cd 0.282 0.207 0.834
Cd 0.282 0.448 0.075
Cd 0.448 0.282 0.575
Cd 0.448 0.873 0.166
Cd 0.500 0.000 0.500
Cd 0.552 0.127 0.834
Cd 0.552 0.718 0.425
Cd 0.718 0.552 0.925
Cd 0.718 0.793 0.166
Cd 0.793 0.127 0.075
Cd 0.793 0.718 0.666
Cd 0.873 0.207 0.425
Cd 0.873 0.448 0.666
Cd 0.875 0.125 0.750

---

Please write out number 2 again, unchanged.
Computed powder X-ray diffraction pattern of Ca2Tc2Se for Cu Ka, from the PBE geometry in Alexandria.
No peak broadening, texture or thermal motion is included.

Top 12 peaks for 2θ from 10° to 90°, by angle:
- 21.50°, I 69
- 30.58°, I 100
- 32.81°, I 12
- 40.30°, I 52
- 43.80°, I 36
- 49.29°, I 15
- 51.42°, I 50
- 61.02°, I 15
- 63.67°, I 11
- 69.80°, I 20
- 72.28°, I 15
- 78.10°, I 14

Structure:
Lattice parameters (Å, degrees): 5.504 5.504 5.504 115.84 115.84 97.36
Element x y z (fractional)
Ca 0.250 0.750 0.500
Ca 0.750 0.250 0.500
Tc 0.152 0.152 0.000
Tc 0.848 0.848 0.000
Se 0.500 0.500 0.000